Entry 1:
Computed X-ray diffraction stick pattern of Ce5FeSn2 for copper Kα, from a structure optimized by DFT (PBE).
Peak positions follow from Bragg's law for the DFT cell and can differ from measured ones.

Atomic structure:
Cell: 11.073 7.049 7.078 Å, 90.00 129.61 90.00°
Space group Cm (No. 8)
Asymmetric unit:
Ce: 0.000 0.000 0.000 x2
Ce: 0.173 0.252 0.381 x4
Ce: 0.206 0.241 0.920 x4
Fe: 0.139 0.500 0.670 x2
Sn: 0.443 0.500 0.422 x2
Sn: 0.444 0.000 0.867 x2

Principal peaks in the range 2θ = 10–90°, by intensity:
two_theta, Rel. int.
33.0, 100.0
32.9, 98.3
36.0, 97.7
56.8, 34.0
62.8, 30.4
62.7, 27.8
27.5, 22.0
42.4, 21.3

---

Entry 2:
Computed X-ray diffraction stick pattern of Li5ZnCu2 for copper Kα, from a structure optimized by DFT (PBE).
Peak positions follow from Bragg's law for the DFT cell and can differ from measured ones.

Atomic structure:
Cell: 5.610 11.186 3.693 Å, 90.00 90.00 90.00°
Space group Pbam (No. 55)
Asymmetric unit:
Li: 0.000 0.000 0.000 x2
Li: 0.013 0.251 0.000 x4
Li: 0.246 0.874 0.500 x4
Zn: 0.000 0.500 0.000 x2
Cu: 0.230 0.615 0.500 x4

Principal peaks in the range 2θ = 10–90°, by intensity:
two_theta, Rel. int.
40.4, 100.0
22.4, 69.9
33.2, 52.1
17.7, 47.7
15.8, 34.7
45.8, 33.1
69.6, 17.4
49.4, 14.7

---

Entry 3:
Computed X-ray diffraction stick pattern of BaAcGa for copper Kα, from a structure optimized by DFT (PBE).
Peak positions follow from Bragg's law for the DFT cell and can differ from measured ones.

Atomic structure:
Cell: 4.698 24.063 4.393 Å, 90.00 90.00 90.00°
Space group Cmcm (No. 63)
Asymmetric unit:
Ba: 0.000 0.184 0.250 x4
Ac: 0.000 0.431 0.250 x4
Ga: 0.000 0.033 0.250 x4

Principal peaks in the range 2θ = 10–90°, by intensity:
two_theta, Rel. int.
25.1, 100.0
28.1, 92.9
26.5, 78.6
38.4, 73.0
30.0, 68.5
29.7, 45.4
46.4, 39.3
33.6, 36.0

---

Entry 4:
Computed X-ray diffraction stick pattern of Ce3TmH8 for copper Kα, from a structure optimized by DFT (PBE).
Peak positions follow from Bragg's law for the DFT cell and can differ from measured ones.

Atomic structure:
Cell: 5.349 5.349 5.349 Å, 90.00 90.00 90.00°
Space group Pm-3m (No. 221)
Asymmetric unit:
Ce: 0.000 0.000 0.500 x3
Tm: 0.500 0.500 0.500 x1
H: 0.261 0.261 0.261 x8

Principal peaks in the range 2θ = 10–90°, by intensity:
two_theta, Rel. int.
28.9, 100.0
33.5, 48.8
57.1, 44.3
48.1, 38.0
77.8, 17.9
80.3, 16.3
89.8, 13.1
59.9, 12.5

---

Entry 5:
Computed X-ray diffraction stick pattern of CuRhAu2O8 for copper Kα, from a structure optimized by DFT (PBE).
Peak positions follow from Bragg's law for the DFT cell and can differ from measured ones.

Atomic structure:
Cell: 6.349 6.349 7.099 Å, 90.00 90.00 90.00°
Space group I-4m2 (No. 119)
Asymmetric unit:
Cu: 0.000 0.000 0.000 x2
Rh: 0.000 0.500 0.250 x2
Au: 0.000 0.000 0.500 x2
Au: 0.000 0.500 0.750 x2
O: 0.000 0.183 0.267 x8
O: 0.000 0.325 0.992 x8

Principal peaks in the range 2θ = 10–90°, by intensity:
two_theta, Rel. int.
32.1, 100.0
28.1, 95.8
52.4, 69.7
34.0, 28.1
40.2, 25.2
18.8, 23.9
59.7, 22.6
68.0, 19.4

---

What did the fifth record say?
Computed X-ray diffraction stick pattern of CuRhAu2O8 for copper Kα, from a structure optimized by DFT (PBE).
Peak positions follow from Bragg's law for the DFT cell and can differ from measured ones.

Atomic structure:
Cell: 6.349 6.349 7.099 Å, 90.00 90.00 90.00°
Space group I-4m2 (No. 119)
Asymmetric unit:
Cu: 0.000 0.000 0.000 x2
Rh: 0.000 0.500 0.250 x2
Au: 0.000 0.000 0.500 x2
Au: 0.000 0.500 0.750 x2
O: 0.000 0.183 0.267 x8
O: 0.000 0.325 0.992 x8

Principal peaks in the range 2θ = 10–90°, by intensity:
two_theta, Rel. int.
32.1, 100.0
28.1, 95.8
52.4, 69.7
34.0, 28.1
40.2, 25.2
18.8, 23.9
59.7, 22.6
68.0, 19.4

---

Question: Which formula does entry 2 have?
Answer: Li5ZnCu2

---

Question: Which formula does entry 5 have?
Answer: CuRhAu2O8